AcMgCd2: computed powder diffraction line list (CuKα), based on a PBE-relaxed structure.
Lines closer than 0.1° are merged.

Structural model:
a b c (Å): 7.791 5.053 11.412
angles (deg): 90.00 90.00 90.00
Positions (direct):
Ac  0.208  0.250  0.167
Ac  0.292  0.750  0.667
Ac  0.708  0.250  0.333
Ac  0.792  0.750  0.833
Mg  0.040  0.750  0.399
Mg  0.460  0.250  0.899
Mg  0.540  0.750  0.101
Mg  0.960  0.250  0.601
Cd  0.086  0.250  0.852
Cd  0.219  0.750  0.962
Cd  0.281  0.250  0.462
Cd  0.414  0.750  0.352
Cd  0.586  0.250  0.648
Cd  0.719  0.750  0.538
Cd  0.781  0.250  0.038
Cd  0.914  0.750  0.148

Top 10 peaks for 10° ≤ 2θ ≤ 80°, by angle:
(hkl)	Position (°2θ)	I (rel.)
1 0 1	13.76	217
0 1 1	19.23	212
2 0 0	22.83	214
2 1 1	30.00	554
1 1 3	31.60	1000
1 0 4	33.45	210
0 2 0	35.52	400
3 0 4	47.34	150
1 2 4	49.61	174
5 1 2	64.69	185